Calculated powder diffraction line list
Compound: Ba2MgFe2B2P4O18
Radiation: Cu Kα (weighted mean of Kα1 and Kα2)
Structure: a structure optimized by DFT (PBE+U)

Crystal structure
Unit cell a=5.3730 b=8.2865 c=8.2919 alpha=89.57 beta=87.76 gamma=80.34
Fractional coordinates of all 29 atoms:
Ba (0.0000, 0.0000, 0.0000)
Ba (0.4428, 0.2346, 0.6249)
Mg (0.4598, 0.3152, 0.1058)
Fe (0.1999, 0.6203, 0.3009)
Fe (0.9820, 0.9171, 0.5195)
B (0.6058, 0.6595, 0.0565)
B (0.8383, 0.5723, 0.5748)
P (0.4970, 0.9309, 0.2521)
P (0.5220, 0.8186, 0.7484)
P (0.9259, 0.4156, 0.8838)
P (0.9387, 0.3039, 0.3706)
O (0.1743, 0.3116, 0.9355)
O (0.1956, 0.3591, 0.3237)
O (0.2352, 0.8760, 0.2859)
O (0.2747, 0.9239, 0.6977)
O (0.4501, 0.5570, 0.1271)
O (0.4613, 0.0659, 0.1204)
O (0.4626, 0.7634, 0.9254)
O (0.5922, 0.6597, 0.6441)
O (0.6143, 0.9814, 0.4034)
O (0.6875, 0.7805, 0.1732)
O (0.7108, 0.3130, 0.8900)
O (0.7368, 0.9213, 0.7431)
O (0.7565, 0.4508, 0.4600)
O (0.8025, 0.2551, 0.2267)
O (0.8570, 0.5740, 0.9891)
O (0.9856, 0.4701, 0.7062)
O (0.9883, 0.1672, 0.5007)
O (0.9947, 0.6729, 0.4992)

Largest 12 diffraction maxima, in order of rising 2θ, 2θ = 5–70°:
2θ = 10.83°, I = 58, hkl 0 1 0
2θ = 20.97°, I = 43, hkl 1 1 1
2θ = 23.76°, I = 44, hkl 1 -1 1
2θ = 24.30°, I = 43, hkl 0 2 -1
2θ = 26.81°, I = 67, hkl 1 0 2
2θ = 27.71°, I = 57, hkl 1 2 -1
2θ = 27.87°, I = 92, hkl 1 1 2
2θ = 29.79°, I = 39, hkl 1 -2 0
2θ = 31.00°, I = 78, hkl -1 1 2
2θ = 32.89°, I = 48, hkl 0 3 0
2θ = 33.82°, I = 100, hkl 2 1 0
2θ = 34.67°, I = 34, hkl 0 3 1